No. 1
YZn10Co2: theoretical X-ray diffraction stick pattern (Cu Kα X-rays), based on the PBE geometry in Alexandria.
Lines closer than 0.1° are merged.

Structure:
Cell lengths 4.957, 12.490, 12.663 Å; angles 90.00, 90.00, 90.00 degrees
Space group Fmmm (No. 69)
Asymmetric unit:
1 Y 0.000 0.000 0.000 (multiplicity 4)
2 Zn 0.000 0.113 0.394 (multiplicity 16)
3 Zn 0.000 0.181 0.167 (multiplicity 16)
4 Zn 0.250 0.000 0.250 (multiplicity 8)
5 Co 0.250 0.250 0.000 (multiplicity 8)

Largest 6 diffraction maxima, sorted by position, 10° ≤ 2θ ≤ 80°:
(hkl)	Position (°2θ)	Rel. int.
1 3 3	35.3	42
0 4 4	40.6	100
1 5 1	41.1	52
2 2 2	41.7	60
2 0 4	46.5	33
2 4 0	46.8	24

***

No. 2
Sm2Pd9Pt: theoretical X-ray diffraction stick pattern (Cu Kα X-rays), based on the PBE geometry in Alexandria.
Lines closer than 0.1° are merged.

Structure:
Cell lengths 4.113, 4.113, 12.234 Å; angles 90.00, 90.00, 90.00 degrees
Space group P4/mmm (No. 123)
Asymmetric unit:
1 Sm 0.000 0.000 0.173 (multiplicity 2)
2 Pd 0.000 0.500 0.000 (multiplicity 2)
3 Pd 0.000 0.500 0.345 (multiplicity 4)
4 Pd 0.500 0.500 0.173 (multiplicity 2)
5 Pd 0.500 0.500 0.500 (multiplicity 1)
6 Pt 0.000 0.000 0.500 (multiplicity 1)

Largest 6 diffraction maxima, sorted by position, 10° ≤ 2θ ≤ 80°:
(hkl)	Position (°2θ)	Rel. int.
1 1 3	38.0	100
2 0 0	44.0	33
0 0 6	44.4	15
2 2 0	64.0	11
2 0 6	64.3	20
3 1 3	76.9	25

***

No. 3
MnTc2Os6: theoretical X-ray diffraction stick pattern (Cu Kα X-rays), based on the PBE geometry in Alexandria.
Lines closer than 0.1° are merged.

Structure:
Cell lengths 12.674, 8.106, 5.215 Å; angles 90.00, 103.41, 90.00 degrees
Space group C2/c (No. 15)
Asymmetric unit:
1 Mn 0.000 0.077 0.250 (multiplicity 4)
2 Tc 0.176 0.468 0.901 (multiplicity 8)
3 Os 0.002 0.340 0.000 (multiplicity 8)
4 Os 0.134 0.131 0.768 (multiplicity 8)
5 Os 0.183 0.202 0.293 (multiplicity 8)

Largest 6 diffraction maxima, sorted by position, 10° ≤ 2θ ≤ 80°:
(hkl)	Position (°2θ)	Rel. int.
3 3 0	39.9	100
4 0 -2	40.5	50
2 0 2	41.5	33
3 3 -1	41.7	36
6 0 0	44.1	37
1 3 -2	48.5	47

***

No. 4
Zn2Bi3: theoretical X-ray diffraction stick pattern (Cu Kα X-rays), based on the PBE geometry in Alexandria.
Lines closer than 0.1° are merged.

Structure:
Cell lengths 7.9817, 7.9817, 14.9771 Å; angles 90.00, 90.00, 120.00 degrees
Space group R-3c (No. 167, hexagonal axes)
Asymmetric unit:
1 Zn 0.0000 0.0000 0.1609 (multiplicity 12)
2 Bi 0.0000 0.3449 0.2500 (multiplicity 18)

Largest 6 diffraction maxima, sorted by position, 10° ≤ 2θ ≤ 80°:
(hkl)	Position (°2θ)	Rel. int.
1 1 3	28.6	100
3 0 0	39.1	44
1 1 6	42.7	24
2 2 3	49.2	23
3 0 6	54.2	14
4 1 3	64.5	20

***

No. 5
CsKPaBr6: theoretical X-ray diffraction stick pattern (Cu Kα X-rays), based on the PBE geometry in Alexandria.
Lines closer than 0.1° are merged.

Structure:
Cell lengths 8.2303, 8.2303, 14.7912 Å; angles 90.00, 90.00, 120.00 degrees
Space group P-31c (No. 163)
Asymmetric unit:
1 Cs 0.0000 0.0000 0.0000 (multiplicity 2)
2 K 0.3333 0.6667 0.2500 (multiplicity 2)
3 Pa 0.3333 0.6667 0.7500 (multiplicity 2)
4 Br 0.0475 0.3936 0.6398 (multiplicity 12)

Largest 6 diffraction maxima, sorted by position, 10° ≤ 2θ ≤ 80°:
(hkl)	Position (°2θ)	Rel. int.
1 0 1	13.8	99
1 0 2	17.3	96
1 1 2	24.8	82
1 1 4	32.6	100
2 1 2	35.5	37
3 0 0	37.9	47

***

No. 6
Mg3Cd5: theoretical X-ray diffraction stick pattern (Cu Kα X-rays), based on the PBE geometry in Alexandria.
Lines closer than 0.1° are merged.

Structure:
Cell lengths 8.916, 8.990, 4.373 Å; angles 90.00, 90.00, 90.00 degrees
Space group Cmmm (No. 65)
Asymmetric unit:
1 Mg 0.000 0.000 0.000 (multiplicity 2)
2 Mg 0.000 0.258 0.500 (multiplicity 4)
3 Cd 0.000 0.500 0.000 (multiplicity 2)
4 Cd 0.241 0.000 0.500 (multiplicity 4)
5 Cd 0.250 0.250 0.000 (multiplicity 4)

Largest 6 diffraction maxima, sorted by position, 10° ≤ 2θ ≤ 80°:
(hkl)	Position (°2θ)	Rel. int.
2 0 0	19.9	17
0 2 1	28.5	15
2 2 1	35.0	100
0 4 0	40.1	17
4 0 0	40.5	16
0 0 2	41.3	16

***

> Number 2 is which compound?

Sm2Pd9Pt